Record 1
Starting from a PBE-relaxed structure, the X-ray powder pattern of Na3BiN2 was calculated for Cu Kα.
Lines closer than 0.1° are merged.

Largest 10 diffraction maxima, by angle, 2θ = 10–80°:
d = 4.834 Å, rel. 100; d = 3.164 Å, rel. 81; d = 2.960 Å, rel. 60; d = 2.524 Å, rel. 27; d = 2.162 Å, rel. 20; d = 2.093 Å, rel. 64; d = 1.921 Å, rel. 28; d = 1.611 Å, rel. 25; d = 1.504 Å, rel. 20; d = 1.324 Å, rel. 19

Cell and atoms:
```
data_Na3BiN2
_chemical_formula_sum 'Na24 Bi8 N16'
_space_group_name_H-M_alt 'P 1'
_space_group_IT_number 1
_cell_length_a 10.2541
_cell_length_b 10.2541
_cell_length_c 10.2541
_cell_angle_alpha 109.47
_cell_angle_beta 109.47
_cell_angle_gamma 109.47
loop_
_space_group_symop_operation_xyz
'x,y,z'
loop_
_atom_site_label
_atom_site_type_symbol
_atom_site_fract_x
_atom_site_fract_y
_atom_site_fract_z
Na1 Na 0.0022 0.9736 0.2381
Na2 Na 0.0264 0.7619 0.9978
Na3 Na 0.0286 0.5022 0.2640
Na4 Na 0.2355 0.7640 0.2619
Na5 Na 0.2360 0.7381 0.7645
Na6 Na 0.2381 0.0022 0.9736
Na7 Na 0.2619 0.2355 0.7640
Na8 Na 0.2640 0.0286 0.5022
Na9 Na 0.2645 0.5264 0.5286
Na10 Na 0.4714 0.7355 0.4736
Na11 Na 0.4736 0.4714 0.7355
Na12 Na 0.4978 0.7360 0.9714
Na13 Na 0.5022 0.2640 0.0286
Na14 Na 0.5264 0.5286 0.2645
Na15 Na 0.5286 0.2645 0.5264
Na16 Na 0.7355 0.4736 0.4714
Na17 Na 0.7360 0.9714 0.4978
Na18 Na 0.7381 0.7645 0.2360
Na19 Na 0.7619 0.9978 0.0264
Na20 Na 0.7640 0.2619 0.2355
Na21 Na 0.7645 0.2360 0.7381
Na22 Na 0.9714 0.4978 0.7360
Na23 Na 0.9736 0.2381 0.0022
Na24 Na 0.9978 0.0264 0.7619
Bi1 Bi 0.0000 0.2414 0.5000
Bi2 Bi 0.0000 0.7586 0.5000
Bi3 Bi 0.2414 0.5000 0.0000
Bi4 Bi 0.2586 0.2586 0.2586
Bi5 Bi 0.5000 0.0000 0.2414
Bi6 Bi 0.5000 0.0000 0.7586
Bi7 Bi 0.7414 0.7414 0.7414
Bi8 Bi 0.7586 0.5000 0.0000
N1 N 0.0000 0.0000 0.5000
N2 N 0.0000 0.5000 0.0000
N3 N 0.0220 0.2500 0.2720
N4 N 0.2280 0.4780 0.7500
N5 N 0.2500 0.2720 0.0220
N6 N 0.2500 0.7720 0.5220
N7 N 0.2720 0.0220 0.2500
N8 N 0.4780 0.7500 0.2280
N9 N 0.5000 0.0000 0.0000
N10 N 0.5000 0.5000 0.5000
N11 N 0.5220 0.2500 0.7720
N12 N 0.7280 0.9780 0.7500
N13 N 0.7500 0.2280 0.4780
N14 N 0.7500 0.7280 0.9780
N15 N 0.7720 0.5220 0.2500
N16 N 0.9780 0.7500 0.7280
```

=====

Record 2
Starting from a PBE-relaxed structure, the X-ray powder pattern of Ti3TePb4O13 was calculated for Cu Kα.
Lines closer than 0.1° are merged.

Largest 10 diffraction maxima, by angle, 2θ = 10–80°:
d = 6.080 Å, rel. 17; d = 3.150 Å, rel. 22; d = 3.040 Å, rel. 35; d = 3.015 Å, rel. 100; d = 2.617 Å, rel. 50; d = 1.856 Å, rel. 29; d = 1.845 Å, rel. 28; d = 1.584 Å, rel. 15; d = 1.577 Å, rel. 30; d = 1.574 Å, rel. 15

Cell and atoms:
```
data_Ti3TePb4O13
_chemical_formula_sum 'Ti3 Te1 Pb4 O13'
_space_group_name_H-M_alt 'P 1'
_space_group_IT_number 1
_cell_length_a 7.4242
_cell_length_b 7.4242
_cell_length_c 7.4242
_cell_angle_alpha 59.59
_cell_angle_beta 59.59
_cell_angle_gamma 59.59
loop_
_space_group_symop_operation_xyz
'x,y,z'
loop_
_atom_site_label
_atom_site_type_symbol
_atom_site_fract_x
_atom_site_fract_y
_atom_site_fract_z
Ti1 Ti 0.1674 0.1674 0.6652
Ti2 Ti 0.1674 0.6652 0.1674
Ti3 Ti 0.6652 0.1674 0.1674
Te1 Te 0.1671 0.1671 0.1671
Pb1 Pb 0.1600 0.6696 0.6696
Pb2 Pb 0.6688 0.6688 0.6688
Pb3 Pb 0.6696 0.1600 0.6696
Pb4 Pb 0.6696 0.6696 0.1600
O1 O 0.0998 0.0998 0.4792
O2 O 0.0998 0.4792 0.0998
O3 O 0.1051 0.4822 0.4822
O4 O 0.2325 0.8488 0.8488
O5 O 0.2370 0.2370 0.8530
O6 O 0.2370 0.8530 0.2370
O7 O 0.4792 0.0998 0.0998
O8 O 0.4822 0.1051 0.4822
O9 O 0.4822 0.4822 0.1051
O10 O 0.5411 0.5411 0.5411
O11 O 0.8488 0.2325 0.8488
O12 O 0.8488 0.8488 0.2325
O13 O 0.8530 0.2370 0.2370
```

=====

Record 3
Starting from a PBE-relaxed structure, the X-ray powder pattern of NaTmO2 was calculated for Cu Kα.
Lines closer than 0.1° are merged.

Largest 10 diffraction maxima, by angle, 2θ = 10–80°:
d = 5.560 Å, rel. 100; d = 2.871 Å, rel. 51; d = 2.780 Å, rel. 21; d = 2.751 Å, rel. 58; d = 2.389 Å, rel. 78; d = 2.195 Å, rel. 21; d = 1.845 Å, rel. 19; d = 1.696 Å, rel. 25; d = 1.682 Å, rel. 26; d = 1.610 Å, rel. 22

Cell and atoms:
```
data_NaTmO2
_chemical_formula_sum 'Na1 Tm1 O2'
_space_group_name_H-M_alt 'P 1'
_space_group_IT_number 1
_cell_length_a 5.8893
_cell_length_b 5.8893
_cell_length_c 5.8893
_cell_angle_alpha 33.20
_cell_angle_beta 33.20
_cell_angle_gamma 33.20
loop_
_space_group_symop_operation_xyz
'x,y,z'
loop_
_atom_site_label
_atom_site_type_symbol
_atom_site_fract_x
_atom_site_fract_y
_atom_site_fract_z
Na1 Na 0.0000 0.0000 0.0000
Tm1 Tm 0.5000 0.5000 0.5000
O1 O 0.2362 0.2362 0.2362
O2 O 0.7638 0.7638 0.7638
```

=====

Record 4
Starting from a PBE-relaxed structure, the X-ray powder pattern of KPb2C2O6F was calculated for Cu Kα.
Lines closer than 0.1° are merged.

Largest 10 diffraction maxima, by angle, 2θ = 10–80°:
d = 7.023 Å, rel. 24; d = 4.651 Å, rel. 26; d = 4.416 Å, rel. 32; d = 3.300 Å, rel. 100; d = 2.686 Å, rel. 51; d = 2.341 Å, rel. 16; d = 2.083 Å, rel. 44; d = 1.765 Å, rel. 29; d = 1.646 Å, rel. 25; d = 1.244 Å, rel. 13

Cell and atoms:
```
data_KPb2C2O6F
_chemical_formula_sum 'K2 Pb4 C4 O12 F2'
_space_group_name_H-M_alt 'P 1'
_space_group_IT_number 1
_cell_length_a 5.3710
_cell_length_b 5.3710
_cell_length_c 14.0465
_cell_angle_alpha 90.00
_cell_angle_beta 90.00
_cell_angle_gamma 120.00
loop_
_space_group_symop_operation_xyz
'x,y,z'
loop_
_atom_site_label
_atom_site_type_symbol
_atom_site_fract_x
_atom_site_fract_y
_atom_site_fract_z
K1 K 0.3333 0.6667 0.2500
K2 K 0.6667 0.3333 0.7500
Pb1 Pb 0.3333 0.6667 0.5816
Pb2 Pb 0.3333 0.6667 0.9184
Pb3 Pb 0.6667 0.3333 0.0816
Pb4 Pb 0.6667 0.3333 0.4184
C1 C 0.0000 0.0000 0.1064
C2 C 0.0000 0.0000 0.3936
C3 C 0.0000 0.0000 0.6064
C4 C 0.0000 0.0000 0.8936
O1 O 0.1402 0.2804 0.1059
O2 O 0.1402 0.2804 0.3941
O3 O 0.1402 0.8598 0.1059
O4 O 0.1402 0.8598 0.3941
O5 O 0.2804 0.1402 0.6059
O6 O 0.2804 0.1402 0.8941
O7 O 0.7196 0.8598 0.1059
O8 O 0.7196 0.8598 0.3941
O9 O 0.8598 0.1402 0.6059
O10 O 0.8598 0.1402 0.8941
O11 O 0.8598 0.7196 0.6059
O12 O 0.8598 0.7196 0.8941
F1 F 0.3333 0.6667 0.7500
F2 F 0.6667 0.3333 0.2500
```

=====

Record 5
Starting from a PBE-relaxed structure, the X-ray powder pattern of TiNbN2 was calculated for Cu Kα.
Lines closer than 0.1° are merged.

Largest 10 diffraction maxima, by angle, 2θ = 10–80°:
d = 4.358 Å, rel. 17; d = 3.093 Å, rel. 15; d = 2.522 Å, rel. 100; d = 2.187 Å, rel. 69; d = 2.179 Å, rel. 34; d = 1.547 Å, rel. 21; d = 1.544 Å, rel. 41; d = 1.319 Å, rel. 26; d = 1.315 Å, rel. 13; d = 1.261 Å, rel. 20

Cell and atoms:
```
data_TiNbN2
_chemical_formula_sum 'Ti1 Nb1 N2'
_space_group_name_H-M_alt 'P 1'
_space_group_IT_number 1
_cell_length_a 3.0934
_cell_length_b 3.0934
_cell_length_c 4.3575
_cell_angle_alpha 90.00
_cell_angle_beta 90.00
_cell_angle_gamma 90.00
loop_
_space_group_symop_operation_xyz
'x,y,z'
loop_
_atom_site_label
_atom_site_type_symbol
_atom_site_fract_x
_atom_site_fract_y
_atom_site_fract_z
Ti1 Ti 0.0000 0.0000 0.0000
Nb1 Nb 0.5000 0.5000 0.5000
N1 N 0.0000 0.0000 0.5000
N2 N 0.5000 0.5000 0.0000
```

=====

Record 6
Starting from a PBE-relaxed structure, the X-ray powder pattern of BaGeAu3 was calculated for Cu Kα.
Lines closer than 0.1° are merged.

Largest 10 diffraction maxima, by angle, 2θ = 10–80°:
d = 5.200 Å, rel. 18; d = 2.858 Å, rel. 100; d = 2.818 Å, rel. 29; d = 2.419 Å, rel. 60; d = 2.070 Å, rel. 30; d = 1.911 Å, rel. 11; d = 1.835 Å, rel. 16; d = 1.710 Å, rel. 21; d = 1.468 Å, rel. 27; d = 1.318 Å, rel. 14

Cell and atoms:
```
data_BaGeAu3
_chemical_formula_sum 'Ba1 Ge1 Au3'
_space_group_name_H-M_alt 'P 1'
_space_group_IT_number 1
_cell_length_a 6.2241
_cell_length_b 6.2241
_cell_length_c 6.2241
_cell_angle_alpha 134.26
_cell_angle_beta 134.26
_cell_angle_gamma 66.68
loop_
_space_group_symop_operation_xyz
'x,y,z'
loop_
_atom_site_label
_atom_site_type_symbol
_atom_site_fract_x
_atom_site_fract_y
_atom_site_fract_z
Ba1 Ba 0.0000 0.0000 0.0000
Ge1 Ge 0.3549 0.3549 0.0000
Au1 Au 0.2584 0.7584 0.5000
Au2 Au 0.6039 0.6039 0.0000
Au3 Au 0.7584 0.2584 0.5000
```

=====

Record 7
Starting from a PBE-relaxed structure, the X-ray powder pattern of K3TaF8 was calculated for Cu Kα.
Lines closer than 0.1° are merged.

Largest 10 diffraction maxima, by angle, 2θ = 10–80°:
d = 7.293 Å, rel. 29; d = 4.803 Å, rel. 100; d = 4.210 Å, rel. 49; d = 3.646 Å, rel. 22; d = 3.166 Å, rel. 75; d = 2.530 Å, rel. 17; d = 2.402 Å, rel. 30; d = 2.105 Å, rel. 30; d = 1.838 Å, rel. 22; d = 1.757 Å, rel. 22

Cell and atoms:
```
data_K3TaF8
_chemical_formula_sum 'K6 Ta2 F16'
_space_group_name_H-M_alt 'P 1'
_space_group_IT_number 1
_cell_length_a 8.4208
_cell_length_b 8.4208
_cell_length_c 6.3831
_cell_angle_alpha 90.00
_cell_angle_beta 90.00
_cell_angle_gamma 120.00
loop_
_space_group_symop_operation_xyz
'x,y,z'
loop_
_atom_site_label
_atom_site_type_symbol
_atom_site_fract_x
_atom_site_fract_y
_atom_site_fract_z
K1 K 0.1531 0.3061 0.0000
K2 K 0.1531 0.8469 0.0000
K3 K 0.3061 0.1531 0.5000
K4 K 0.6939 0.8469 0.0000
K5 K 0.8469 0.1531 0.5000
K6 K 0.8469 0.6939 0.5000
Ta1 Ta 0.3333 0.6667 0.4920
Ta2 Ta 0.6667 0.3333 0.9920
F1 F 0.0000 0.0000 0.2581
F2 F 0.0000 0.0000 0.7581
F3 F 0.1274 0.5637 0.2877
F4 F 0.2025 0.4049 0.5697
F5 F 0.2025 0.7975 0.5697
F6 F 0.3333 0.6667 0.8042
F7 F 0.4049 0.2025 0.0697
F8 F 0.4363 0.5637 0.2877
F9 F 0.4363 0.8726 0.2877
F10 F 0.5637 0.1274 0.7877
F11 F 0.5637 0.4363 0.7877
F12 F 0.5951 0.7975 0.5697
F13 F 0.6667 0.3333 0.3042
F14 F 0.7975 0.2025 0.0697
F15 F 0.7975 0.5951 0.0697
F16 F 0.8726 0.4363 0.7877
```

=====

Record 8
Starting from a PBE-relaxed structure, the X-ray powder pattern of RbMg14Zr was calculated for Cu Kα.
Lines closer than 0.1° are merged.

Largest 10 diffraction maxima, by angle, 2θ = 10–80°:
d = 4.984 Å, rel. 20; d = 2.869 Å, rel. 26; d = 2.835 Å, rel. 14; d = 2.615 Å, rel. 36; d = 2.515 Å, rel. 100; d = 2.492 Å, rel. 46; d = 1.933 Å, rel. 16; d = 1.643 Å, rel. 17; d = 1.490 Å, rel. 18; d = 1.391 Å, rel. 18

Cell and atoms:
```
data_RbMg14Zr
_chemical_formula_sum 'Rb1 Mg14 Zr1'
_space_group_name_H-M_alt 'P 1'
_space_group_IT_number 1
_cell_length_a 10.4592
_cell_length_b 6.5733
_cell_length_c 6.5733
_cell_angle_alpha 60.80
_cell_angle_beta 90.00
_cell_angle_gamma 90.00
loop_
_space_group_symop_operation_xyz
'x,y,z'
loop_
_atom_site_label
_atom_site_type_symbol
_atom_site_fract_x
_atom_site_fract_y
_atom_site_fract_z
Rb1 Rb 0.0000 0.0000 0.0000
Mg1 Mg 0.0000 0.5010 0.9969
Mg2 Mg 0.0000 0.9969 0.5010
Mg3 Mg 0.2459 0.6618 0.6618
Mg4 Mg 0.2595 0.1759 0.6507
Mg5 Mg 0.2595 0.6507 0.1759
Mg6 Mg 0.2634 0.1719 0.1719
Mg7 Mg 0.5000 0.4985 0.4985
Mg8 Mg 0.5000 0.4999 0.9943
Mg9 Mg 0.5000 0.9943 0.4999
Mg10 Mg 0.5000 0.9971 0.9971
Mg11 Mg 0.7366 0.1719 0.1719
Mg12 Mg 0.7405 0.1759 0.6507
Mg13 Mg 0.7405 0.6507 0.1759
Mg14 Mg 0.7541 0.6618 0.6618
Zr1 Zr 0.0000 0.4884 0.4884
```